For HoPa4Se5, a DFT-relaxed cell (GGA-PBE, Alexandria) gives the computed powder diffractogram in this record (Cu Kα).
Peak positions follow from Bragg's law for the DFT cell and can differ from measured ones.

Atomic structure:
a = 3.9525 Å, b = 3.9525 Å, c = 52.6348 Å
α = 90.00°, β = 90.00°, γ = 120.00°
Space group R-3m (No. 166, hexagonal axes)
One atom of each set of equivalent atoms:
Ho1 0.0000 0.0000 0.0000 [3 per cell]
Pa1 0.0000 0.0000 0.2000 [6 per cell]
Pa2 0.0000 0.0000 0.4002 [6 per cell]
Se1 0.0000 0.0000 0.1001 [6 per cell]
Se2 0.0000 0.0000 0.3010 [6 per cell]
Se3 0.0000 0.0000 0.5000 [3 per cell]

Top 6 peaks for 2θ from 10° to 90°, most intense first:
- 2θ = 31.17°, rel. 100, (1 0 10)
- 2θ = 43.37°, rel. 41, (0 1 20)
- 2θ = 45.92°, rel. 35, (1 1 0)
- 2θ = 27.40°, rel. 28, (0 1 5)
- 2θ = 56.54°, rel. 19, (0 2 10)
- 2θ = 71.97°, rel. 18, (1 1 30)

=====

For HoPa2Se5, a DFT-relaxed cell (GGA-PBE, Alexandria) gives the computed powder diffractogram in this record (Cu Kα).
Peak positions follow from Bragg's law for the DFT cell and can differ from measured ones.

Atomic structure:
a = 7.6088 Å, b = 7.6088 Å, c = 13.3476 Å
α = 90.00°, β = 90.00°, γ = 90.00°
Space group I4/mcm (No. 140)
One atom of each set of equivalent atoms:
Ho1 0.0000 0.0000 0.2500 [4 per cell]
Pa1 0.1476 0.3524 0.0000 [8 per cell]
Se1 0.0000 0.0000 0.0000 [4 per cell]
Se2 0.1604 0.3396 0.3514 [16 per cell]

Top 6 peaks for 2θ from 10° to 90°, most intense first:
- 2θ = 33.14°, rel. 100, (2 1 3)
- 2θ = 37.37°, rel. 48, (3 1 0)
- 2θ = 27.03°, rel. 27, (2 1 1)
- 2θ = 13.27°, rel. 24, (0 0 2)
- 2θ = 21.21°, rel. 21, (1 1 2)
- 2θ = 69.87°, rel. 21, (5 2 3)